Record 1
Starting from a DFT-relaxed cell (GGA-PBE, the Materials Project), the PXRD pattern of KMg6Zn was computed for a wavelength of 1.5418 Å.
Kinematic intensities with the Lorentz-polarization factor, no thermal factor.

Largest 6 diffraction maxima, in order of falling intensity, 10 to 90 degrees two-theta:
d (Å), intensity, (hkl)
2.448, 100, 1 2 2
2.826, 50, 1 0 4
2.582, 47, 2 0 0
2.966, 46, 1 1 3
2.781, 31, 0 2 2
5.561, 24, 0 1 1

Structural model:
```
data_KMg6Zn
_chemical_formula_sum 'K2 Mg12 Zn2'
_cell_length_a 5.164
_cell_length_b 6.103
_cell_length_c 13.508
_cell_angle_alpha 90.00
_cell_angle_beta 90.00
_cell_angle_gamma 90.00
_symmetry_space_group_name_H-M 'A m m 2'
_symmetry_Int_Tables_number 38
_symmetry_space_group_name_Hall 'A 2 -2'
loop_
_atom_site_label
_atom_site_fract_x
_atom_site_fract_y
_atom_site_fract_z
_atom_site_occupancy
K1 0.000 0.000 0.000 1
Mg1 0.000 0.246 0.735 1
Mg2 0.500 0.000 0.165 1
Mg3 0.500 0.000 0.597 1
Mg4 0.500 0.244 0.365 1
Zn1 0.000 0.000 0.422 1
```


Record 2
Starting from a DFT-relaxed cell (GGA-PBE, the Materials Project), the PXRD pattern of Ba2SrSeO6 was computed for a wavelength of 1.5418 Å.
Kinematic intensities with the Lorentz-polarization factor, no thermal factor.

Largest 6 diffraction maxima, in order of falling intensity, 10 to 90 degrees two-theta:
d (Å), intensity, (hkl)
2.999, 100, 2 2 0
1.731, 38, 4 2 2
2.120, 30, 4 0 0
1.133, 22, 6 4 2
1.341, 19, 6 2 0
1.499, 18, 4 4 0

Structural model:
```
data_Ba2SrSeO6
_chemical_formula_sum 'Ba8 Sr4 Se4 O24'
_cell_length_a 8.482
_cell_length_b 8.482
_cell_length_c 8.482
_cell_angle_alpha 90.00
_cell_angle_beta 90.00
_cell_angle_gamma 90.00
_symmetry_space_group_name_H-M 'F m -3 m'
_symmetry_Int_Tables_number 225
_symmetry_space_group_name_Hall '-F 4 2 3'
loop_
_atom_site_label
_atom_site_fract_x
_atom_site_fract_y
_atom_site_fract_z
_atom_site_occupancy
Ba1 0.250 0.250 0.250 1
Sr1 0.000 0.000 0.000 1
Se1 0.000 0.000 0.500 1
O1 0.000 0.000 0.283 1
```


Record 3
Starting from a DFT-relaxed cell (GGA-PBE, the Materials Project), the PXRD pattern of P4S3 was computed for a wavelength of 1.5418 Å.
Kinematic intensities with the Lorentz-polarization factor, no thermal factor.

Largest 6 diffraction maxima, in order of falling intensity, 10 to 90 degrees two-theta:
d (Å), intensity, (hkl)
6.160, 100, 1 0 1
5.490, 61, 0 2 0
5.265, 58, 2 1 0
5.372, 42, 1 1 1
4.050, 25, 2 2 0
3.080, 23, 2 0 2

Structural model:
```
data_P4S3
_chemical_formula_sum 'P16 S12'
_cell_length_a 12.000
_cell_length_b 10.980
_cell_length_c 7.178
_cell_angle_alpha 90.00
_cell_angle_beta 90.00
_cell_angle_gamma 90.00
_symmetry_space_group_name_H-M 'P n m a'
_symmetry_Int_Tables_number 62
_symmetry_space_group_name_Hall '-P 2ac 2n'
loop_
_atom_site_label
_atom_site_fract_x
_atom_site_fract_y
_atom_site_fract_z
_atom_site_occupancy
P1 0.065 0.250 0.098 1
P2 0.071 0.647 0.754 1
P3 0.164 0.750 0.158 1
S1 0.013 0.250 0.819 1
S2 0.183 0.603 0.969 1
```


Record 4
Starting from a DFT-relaxed cell (GGA-PBE, the Materials Project), the PXRD pattern of Tm4Al2O9 was computed for a wavelength of 1.5418 Å.
Kinematic intensities with the Lorentz-polarization factor, no thermal factor.

Largest 6 diffraction maxima, in order of falling intensity, 10 to 90 degrees two-theta:
d (Å), intensity, (hkl)
2.902, 100, 0 2 3
2.990, 100, 2 2 -1
4.683, 44, 0 1 2
7.395, 27, 0 1 1
3.316, 18, 0 1 3
1.821, 17, 2 4 2

Structural model:
```
data_Tm4Al2O9
_chemical_formula_sum 'Tm16 Al8 O36'
_cell_length_a 7.303
_cell_length_b 10.424
_cell_length_c 11.061
_cell_angle_alpha 90.00
_cell_angle_beta 108.43
_cell_angle_gamma 90.00
_symmetry_space_group_name_H-M 'P 1 21/c 1'
_symmetry_Int_Tables_number 14
_symmetry_space_group_name_Hall '-P 2ybc'
loop_
_atom_site_label
_atom_site_fract_x
_atom_site_fract_y
_atom_site_fract_z
_atom_site_occupancy
Tm1 0.022 0.094 0.305 1
Tm2 0.164 0.622 0.587 1
Tm3 0.337 0.124 0.936 1
Tm4 0.477 0.607 0.217 1
Al1 0.216 0.185 0.628 1
Al2 0.345 0.682 0.887 1
O1 0.069 0.234 0.478 1
O2 0.077 0.507 0.394 1
O3 0.210 0.731 0.252 1
O4 0.215 0.021 0.660 1
O5 0.233 0.234 0.272 1
O6 0.301 0.522 0.833 1
O7 0.361 0.729 0.042 1
O8 0.432 0.247 0.614 1
O9 0.435 0.509 0.606 1
```


Record 5
Starting from a DFT-relaxed cell (GGA-PBE, the Materials Project), the PXRD pattern of ScCu was computed for a wavelength of 1.5418 Å.
Kinematic intensities with the Lorentz-polarization factor, no thermal factor.

Largest 6 diffraction maxima, in order of falling intensity, 10 to 90 degrees two-theta:
d (Å), intensity, (hkl)
2.302, 100, 1 1 0
1.329, 30, 2 1 1
1.628, 16, 2 0 0
1.151, 9, 2 2 0
3.255, 6, 1 0 0
1.456, 2, 2 1 0

Structural model:
```
data_ScCu
_chemical_formula_sum 'Sc1 Cu1'
_cell_length_a 3.255
_cell_length_b 3.255
_cell_length_c 3.255
_cell_angle_alpha 90.00
_cell_angle_beta 90.00
_cell_angle_gamma 90.00
_symmetry_space_group_name_H-M 'P m -3 m'
_symmetry_Int_Tables_number 221
_symmetry_space_group_name_Hall '-P 4 2 3'
loop_
_atom_site_label
_atom_site_fract_x
_atom_site_fract_y
_atom_site_fract_z
_atom_site_occupancy
Sc1 0.000 0.000 0.000 1
Cu1 0.500 0.500 0.500 1
```


Record 6
Starting from a DFT-relaxed cell (GGA-PBE, the Materials Project), the PXRD pattern of PrAl4Co was computed for a wavelength of 1.5418 Å.
Kinematic intensities with the Lorentz-polarization factor, no thermal factor.

Largest 6 diffraction maxima, in order of falling intensity, 10 to 90 degrees two-theta:
d (Å), intensity, (hkl)
2.482, 100, 1 1 2
3.149, 54, 1 0 2
2.780, 51, 2 1 0
2.579, 50, 2 1 1
3.837, 50, 2 0 0
4.033, 43, 0 1 0

Structural model:
```
data_PrAl4Co
_chemical_formula_sum 'Pr2 Al8 Co2'
_cell_length_a 7.675
_cell_length_b 4.033
_cell_length_c 6.905
_cell_angle_alpha 90.00
_cell_angle_beta 90.00
_cell_angle_gamma 90.00
_symmetry_space_group_name_H-M 'P m m a'
_symmetry_Int_Tables_number 51
_symmetry_space_group_name_Hall '-P 2a 2a'
loop_
_atom_site_label
_atom_site_fract_x
_atom_site_fract_y
_atom_site_fract_z
_atom_site_occupancy
Pr1 0.250 0.000 0.116 1
Al1 0.000 0.000 0.500 1
Al2 0.071 0.500 0.799 1
Al3 0.250 0.500 0.458 1
Co1 0.250 0.000 0.683 1
```


Record 7
Starting from a DFT-relaxed cell (GGA-PBE, the Materials Project), the PXRD pattern of Hf9V4S was computed for a wavelength of 1.5418 Å.
Kinematic intensities with the Lorentz-polarization factor, no thermal factor.

Largest 6 diffraction maxima, in order of falling intensity, 10 to 90 degrees two-theta:
d (Å), intensity, (hkl)
2.336, 100, 2 1 2
2.784, 80, 2 0 2
2.376, 70, 3 0 1
2.238, 51, 2 0 3
1.457, 45, 3 2 3
2.624, 44, 1 0 3

Structural model:
```
data_Hf9V4S
_chemical_formula_sum 'Hf18 V8 S2'
_cell_length_a 8.5794
_cell_length_b 8.5794
_cell_length_c 8.4125
_cell_angle_alpha 90.00
_cell_angle_beta 90.00
_cell_angle_gamma 120.00
_symmetry_space_group_name_H-M 'P 63/m m c'
_symmetry_Int_Tables_number 194
_symmetry_space_group_name_Hall '-P 6c 2c'
loop_
_atom_site_label
_atom_site_fract_x
_atom_site_fract_y
_atom_site_fract_z
_atom_site_occupancy
Hf1 0.0879 0.5439 0.2500 1
Hf2 0.1956 0.3913 0.5511 1
V1 0.0000 0.0000 0.0000 1
V2 0.1070 0.2140 0.2500 1
S1 0.3333 0.6667 0.7500 1
```